For Li8Mn3Fe5B8O24, a crystal structure in the Materials Project, relaxed with PBE+U gives the computed powder diffraction line list in this record (λ = 1.5418 Å (Cu Kα)).
Kinematic intensities with the Lorentz-polarization factor, no thermal factor.

Most intense lines, 5 to 70 degrees two-theta, by intensity:
2.599 Å, rel. 100
4.123 Å, rel. 63
4.543 Å, rel. 58
2.625 Å, rel. 54
4.160 Å, rel. 38
2.614 Å, rel. 33
2.222 Å, rel. 31
3.378 Å, rel. 29
2.236 Å, rel. 27
1.873 Å, rel. 26

Structure:
```
Li8Mn3Fe5B8O24
1.0
5.229 0.000 0.000
2.602 4.554 0.000
0.223 0.569 20.794
Li Mn Fe B O
8 3 5 8 24
direct
0.000 0.000 0.000
0.000 0.006 0.499
0.010 0.317 0.375
0.013 0.315 0.874
0.969 0.334 0.624
0.970 0.010 0.251
0.970 0.337 0.124
0.975 0.007 0.749
0.323 0.336 0.017
0.661 0.988 0.391
0.666 0.985 0.890
0.306 0.666 0.642
0.306 0.670 0.143
0.335 0.337 0.518
0.655 0.658 0.266
0.661 0.660 0.765
0.317 0.333 0.269
0.322 0.331 0.768
0.329 0.659 0.395
0.332 0.658 0.894
0.649 0.994 0.644
0.650 0.670 0.021
0.652 0.999 0.146
0.653 0.670 0.521
0.062 0.316 0.276
0.067 0.313 0.775
0.083 0.935 0.402
0.087 0.934 0.901
0.302 0.598 0.250
0.306 0.595 0.749
0.308 0.410 0.411
0.311 0.409 0.910
0.374 0.703 0.037
0.377 0.695 0.536
0.384 0.240 0.626
0.388 0.244 0.127
0.588 0.083 0.283
0.593 0.083 0.782
0.596 0.630 0.374
0.599 0.629 0.873
0.662 0.921 0.501
0.665 0.725 0.659
0.669 0.729 0.159
0.671 0.912 0.999
0.899 0.395 0.028
0.903 0.016 0.650
0.905 0.022 0.152
0.906 0.401 0.527
```